1.
Structure and theoretical powder XRD pattern of Rb7AuCl5 (DFT lattice parameters and positions (GGA-PBE); a wavelength of 1.5418 Å).

Peak list (10 most intense, 10° ≤ 2θ ≤ 90°, in order of rising 2θ)
Position (°2θ)	intensity
23.3	28
24.5	85
25.1	42
26.1	100
27.0	93
29.4	25
34.4	32
37.5	29
38.2	36
45.9	49

Atomic structure:
a = 8.2678 Å, b = 8.2678 Å, c = 28.6811 Å
α = 90.13°, β = 90.13°, γ = 33.13°
Fractional positions:
Rb (0.0395, 0.0395, 0.2501)
Rb (0.1362, 0.1362, 0.5350)
Rb (0.1358, 0.1358, 0.9650)
Rb (0.3172, 0.3172, 0.3256)
Rb (0.3184, 0.3184, 0.1740)
Rb (0.4096, 0.4096, 0.8939)
Rb (0.4106, 0.4106, 0.6058)
Rb (0.5894, 0.5894, 0.3942)
Rb (0.5904, 0.5904, 0.1061)
Rb (0.6816, 0.6816, 0.8260)
Rb (0.6828, 0.6828, 0.6744)
Rb (0.8642, 0.8642, 0.0350)
Rb (0.8638, 0.8638, 0.4650)
Rb (0.9605, 0.9605, 0.7499)
Au (0.2918, 0.2918, 0.7508)
Au (0.7082, 0.7082, 0.2492)
Cl (0.0421, 0.0421, 0.8600)
Cl (0.0432, 0.0432, 0.6402)
Cl (0.2262, 0.2262, 0.4290)
Cl (0.2268, 0.2268, 0.0707)
Cl (0.5000, 0.5000, 0.0000)
Cl (0.5000, 0.5000, 0.5000)
Cl (0.7732, 0.7732, 0.9293)
Cl (0.7738, 0.7738, 0.5710)
Cl (0.9568, 0.9568, 0.3598)
Cl (0.9579, 0.9579, 0.1400)



2.
Structure and theoretical powder XRD pattern of CaPu2Hg6 (DFT lattice parameters and positions (GGA-PBE); a wavelength of 1.5418 Å).

Peak list (10 most intense, 10° ≤ 2θ ≤ 90°, in order of rising 2θ)
Position (°2θ)	intensity
11.6	15
33.9	94
35.3	100
44.9	17
49.7	32
62.4	33
63.3	19
67.5	31
84.5	15
89.1	16

Atomic structure:
a = 8.8183 Å, b = 8.8183 Å, c = 3.3089 Å
α = 90.00°, β = 90.00°, γ = 120.00°
Fractional positions:
Ca (0.0000, 0.0000, 0.0000)
Pu (0.3333, 0.6667, 0.0000)
Pu (0.6667, 0.3333, 0.0000)
Hg (0.0000, 0.3323, 0.5000)
Hg (0.0000, 0.6677, 0.5000)
Hg (0.3323, 0.0000, 0.5000)
Hg (0.3323, 0.3323, 0.5000)
Hg (0.6677, 0.0000, 0.5000)
Hg (0.6677, 0.6677, 0.5000)



3.
Structure and theoretical powder XRD pattern of Ba3Li (DFT lattice parameters and positions (GGA-PBE); a wavelength of 1.5418 Å).

Peak list (10 most intense, 10° ≤ 2θ ≤ 90°, in order of rising 2θ)
Position (°2θ)	intensity
16.6	34
26.3	100
28.9	21
41.3	22
43.1	26
44.8	13
48.1	11
55.6	25
66.5	22
86.2	11

Atomic structure:
a = 7.5697 Å, b = 7.5697 Å, c = 7.5697 Å
α = 90.00°, β = 90.00°, γ = 90.00°
Fractional positions:
Ba (0.0000, 0.2500, 0.5000)
Ba (0.0000, 0.7500, 0.5000)
Ba (0.2500, 0.5000, 0.0000)
Ba (0.5000, 0.0000, 0.2500)
Ba (0.5000, 0.0000, 0.7500)
Ba (0.7500, 0.5000, 0.0000)
Li (0.0000, 0.0000, 0.0000)
Li (0.5000, 0.5000, 0.5000)